Simulated powder XRD pattern of RePt3Rh3 for Cu Kα (λ = 1.5418 Å), from the GGA-PBE geometry in Alexandria.
Lines closer than 0.1° are merged.

Top 10 peaks for 5° ≤ 2θ ≤ 70°, low angle first:
- 16.5 deg, 5.375 Å, I 12, hkl 1 1 0
- 23.1 deg, 3.858 Å, I 7, hkl 0 2 0
- 28.2 deg, 3.160 Å, I 11, hkl 1 1 2
- 33.1 deg, 2.704 Å, I 7, hkl 2 0 2
- 40.8 deg, 2.214 Å, I 100, hkl 2 2 2
- 46.5 deg, 1.953 Å, I 18, hkl 0 0 4
- 47.1 deg, 1.929 Å, I 17, hkl 0 4 0
- 48.6 deg, 1.872 Å, I 14, hkl 4 0 0
- 68.3 deg, 1.373 Å, I 11, hkl 0 4 4
- 69.5 deg, 1.352 Å, I 9, hkl 4 0 4

Atomic structure:
```
data_RePt3Rh3
_chemical_formula_sum 'Re4 Pt12 Rh12'
_cell_length_a 7.490
_cell_length_b 7.717
_cell_length_c 7.814
_cell_angle_alpha 90.00
_cell_angle_beta 90.00
_cell_angle_gamma 90.00
_symmetry_space_group_name_H-M 'C m m m'
_symmetry_Int_Tables_number 65
_symmetry_space_group_name_Hall '-C 2 2'
loop_
_atom_site_label
_atom_site_fract_x
_atom_site_fract_y
_atom_site_fract_z
Re1 0.000 0.229 0.000
Pt1 0.000 0.000 0.249
Pt2 0.250 0.250 0.244
Rh1 0.000 0.258 0.500
Rh2 0.194 0.500 0.000
Rh3 0.241 0.500 0.500
```